Starting from a PBE+U-relaxed structure, the powder diffraction line list of NiP2O7 was calculated for Cu Kα, 1.54184 Å.

Structural model:
abc: 5.092 6.817 8.393
angles: 68.00 87.33 87.76
Space group P-1 (No. 2)
Inequivalent atoms, fractional coordinates:
Ni1 0.247 0.210 0.228 (multiplicity 2)
P1 0.246 0.110 0.672 (multiplicity 2)
P2 0.282 0.453 0.807 (multiplicity 2)
O1 0.046 0.934 0.281 (multiplicity 2)
O2 0.105 0.649 0.733 (multiplicity 2)
O3 0.176 0.291 0.975 (multiplicity 2)
O4 0.292 0.346 0.664 (multiplicity 2)
O5 0.294 0.123 0.487 (multiplicity 2)
O6 0.434 0.958 0.796 (multiplicity 2)
O7 0.436 0.484 0.182 (multiplicity 2)

The 12 most intense peaks (10° ≤ 2θ ≤ 90°), in order of rising 2θ:
| (hkl) | Position (°2θ) | intensity |
| --- | --- | --- |
| 0 1 1 | 14.4 | 77.8 |
| 1 1 0 | 22.2 | 72.6 |
| 1 -1 0 | 22.7 | 95.0 |
| 0 0 2 | 22.9 | 100.0 |
| 1 2 1 | 31.0 | 33.7 |
| 0 1 3 | 32.1 | 19.1 |
| -1 2 1 | 32.2 | 17.2 |
| 2 0 0 | 35.3 | 24.2 |
| 1 -1 2 | 35.7 | 15.0 |
| 1 2 -1 | 38.7 | 11.1 |
| -2 1 1 | 39.0 | 11.4 |
| 1 3 1 | 43.3 | 17.8 |


Starting from a PBE+U-relaxed structure, the powder diffraction line list of Ca2MnFeSi4H5O15 was calculated for Cu Kα, 1.54184 Å.

Structural model:
abc: 6.647 10.068 10.615
angles: 66.14 74.10 78.67
Space group P-1 (No. 2)
Inequivalent atoms, fractional coordinates:
Ca1 0.090 0.304 0.032 (multiplicity 2)
Ca2 0.143 0.882 0.139 (multiplicity 2)
Mn1 0.222 0.491 0.207 (multiplicity 2)
Fe1 0.377 0.624 0.396 (multiplicity 2)
Si1 0.153 0.314 0.577 (multiplicity 2)
Si2 0.290 0.603 0.721 (multiplicity 2)
Si3 0.362 0.092 0.809 (multiplicity 2)
Si4 0.416 0.745 0.892 (multiplicity 2)
H1 0.009 0.704 0.571 (multiplicity 2)
H2 0.067 0.926 0.691 (multiplicity 2)
H3 0.165 0.049 0.319 (multiplicity 2)
H4 0.286 0.882 0.512 (multiplicity 2)
H5 0.301 0.041 0.513 (multiplicity 2)
O1 0.075 0.072 0.249 (multiplicity 2)
O2 0.079 0.529 0.832 (multiplicity 2)
O3 0.088 0.649 0.343 (multiplicity 2)
O4 0.142 0.310 0.425 (multiplicity 2)
O5 0.183 0.107 0.944 (multiplicity 2)
O6 0.228 0.704 0.035 (multiplicity 2)
O7 0.232 0.145 0.678 (multiplicity 2)
O8 0.239 0.988 0.476 (multiplicity 2)
O9 0.255 0.693 0.558 (multiplicity 2)
O10 0.319 0.737 0.768 (multiplicity 2)
O11 0.327 0.418 0.555 (multiplicity 2)
O12 0.362 0.350 0.095 (multiplicity 2)
O13 0.437 0.816 0.241 (multiplicity 2)
O14 0.447 0.920 0.846 (multiplicity 2)
O15 0.497 0.512 0.269 (multiplicity 2)

The 12 most intense peaks (10° ≤ 2θ ≤ 90°), in order of rising 2θ:
| (hkl) | Position (°2θ) | intensity |
| --- | --- | --- |
| 0 1 1 | 10.6 | 99.2 |
| 0 2 3 | 27.7 | 40.4 |
| 0 3 2 | 28.3 | 100.0 |
| 2 1 2 | 28.6 | 52.2 |
| 2 -1 0 | 30.6 | 31.0 |
| 0 2 -2 | 31.8 | 88.9 |
| 0 3 3 | 32.3 | 63.4 |
| 2 1 3 | 33.0 | 52.9 |
| 0 3 -1 | 34.0 | 31.6 |
| -1 3 4 | 45.0 | 38.0 |
| 2 4 5 | 49.7 | 37.5 |
| 4 1 1 | 55.7 | 30.5 |


Starting from a PBE+U-relaxed structure, the powder diffraction line list of Li5Fe8B8O24 was calculated for Cu Kα, 1.54184 Å.

Structural model:
abc: 5.264 9.039 11.442
angles: 67.02 77.50 89.62
Space group P1 (No. 1)
Inequivalent atoms, fractional coordinates:
Li1 0.000 0.000 0.000 (multiplicity 1)
Li2 0.012 0.028 0.278 (multiplicity 1)
Li3 0.500 0.517 0.294 (multiplicity 1)
Li4 0.746 0.724 0.533 (multiplicity 1)
Li5 0.785 0.757 0.790 (multiplicity 1)
Fe1 0.006 0.336 0.007 (multiplicity 1)
Fe2 0.022 0.703 0.254 (multiplicity 1)
Fe3 0.258 0.919 0.505 (multiplicity 1)
Fe4 0.306 0.605 0.760 (multiplicity 1)
Fe5 0.498 0.814 0.013 (multiplicity 1)
Fe6 0.526 0.210 0.250 (multiplicity 1)
Fe7 0.755 0.409 0.506 (multiplicity 1)
Fe8 0.777 0.115 0.756 (multiplicity 1)
B1 0.007 0.666 0.999 (multiplicity 1)
B2 0.037 0.374 0.252 (multiplicity 1)
B3 0.257 0.592 0.495 (multiplicity 1)
B4 0.276 0.948 0.757 (multiplicity 1)
B5 0.504 0.162 0.002 (multiplicity 1)
B6 0.533 0.870 0.255 (multiplicity 1)
B7 0.750 0.070 0.509 (multiplicity 1)
B8 0.808 0.454 0.753 (multiplicity 1)
O1 0.013 0.611 0.466 (multiplicity 1)
O2 0.018 0.427 0.813 (multiplicity 1)
O3 0.107 0.771 0.044 (multiplicity 1)
O4 0.114 0.054 0.787 (multiplicity 1)
O5 0.161 0.549 0.973 (multiplicity 1)
O6 0.187 0.845 0.705 (multiplicity 1)
O7 0.238 0.166 0.011 (multiplicity 1)
O8 0.293 0.377 0.255 (multiplicity 1)
O9 0.353 0.700 0.544 (multiplicity 1)
O10 0.366 0.969 0.302 (multiplicity 1)
O11 0.410 0.479 0.478 (multiplicity 1)
O12 0.427 0.758 0.220 (multiplicity 1)
O13 0.517 0.089 0.468 (multiplicity 1)
O14 0.525 0.931 0.783 (multiplicity 1)
O15 0.637 0.254 0.046 (multiplicity 1)
O16 0.644 0.056 0.955 (multiplicity 1)
O17 0.692 0.598 0.729 (multiplicity 1)
O18 0.722 0.341 0.714 (multiplicity 1)
O19 0.765 0.677 0.975 (multiplicity 1)
O20 0.797 0.888 0.244 (multiplicity 1)
O21 0.831 0.168 0.562 (multiplicity 1)
O22 0.871 0.474 0.291 (multiplicity 1)
O23 0.902 0.952 0.488 (multiplicity 1)
O24 0.932 0.263 0.210 (multiplicity 1)

The 12 most intense peaks (10° ≤ 2θ ≤ 90°), in order of rising 2θ:
| (hkl) | Position (°2θ) | intensity |
| --- | --- | --- |
| 1 -1 0 | 19.6 | 85.4 |
| -1 1 1 | 21.3 | 29.6 |
| 1 1 2 | 21.5 | 66.3 |
| 0 2 2 | 21.5 | 45.4 |
| 1 1 -1 | 25.9 | 29.9 |
| 0 2 -1 | 26.2 | 37.4 |
| 1 1 3 | 26.4 | 43.3 |
| 2 0 1 | 34.1 | 37.3 |
| 1 3 2 | 34.2 | 29.3 |
| -1 3 1 | 34.4 | 32.1 |
| 0 0 4 | 35.0 | 100.0 |
| 0 4 1 | 40.8 | 33.3 |


Starting from a PBE+U-relaxed structure, the powder diffraction line list of LiCdFeF6 was calculated for Cu Kα, 1.54184 Å.

Structural model:
abc: 5.2200 5.2200 9.7041
angles: 90.00 90.00 120.00
Space group P-31c (No. 163)
Inequivalent atoms, fractional coordinates:
Li1 0.3333 0.6667 0.2500 (multiplicity 2)
Cd1 0.0000 0.0000 0.0000 (multiplicity 2)
Fe1 0.3333 0.6667 0.7500 (multiplicity 2)
F1 0.0141 0.3606 0.8614 (multiplicity 12)

The 12 most intense peaks (10° ≤ 2θ ≤ 90°), in order of rising 2θ:
| (hkl) | Position (°2θ) | intensity |
| --- | --- | --- |
| 1 0 0 | 19.6 | 25.8 |
| 1 0 1 | 21.7 | 20.9 |
| 1 0 2 | 27.0 | 100.0 |
| 1 1 0 | 34.4 | 17.4 |
| 1 1 2 | 39.2 | 21.5 |
| 1 0 4 | 42.3 | 10.8 |
| 2 0 2 | 44.2 | 23.9 |
| 2 -1 4 | 51.4 | 38.3 |
| 3 -1 2 | 57.2 | 22.5 |
| 1 0 6 | 60.8 | 8.7 |
| 3 0 0 | 61.5 | 15.1 |
| 0 0 8 | 78.9 | 10.8 |


Starting from a PBE+U-relaxed structure, the powder diffraction line list of MgFeCo2O6 was calculated for Cu Kα, 1.54184 Å.

Structural model:
abc: 13.028 2.886 5.922
angles: 90.00 101.97 90.00
Space group Cm (No. 8)
Inequivalent atoms, fractional coordinates:
Mg1 0.000 0.000 0.000 (multiplicity 2)
Fe1 0.000 0.000 0.500 (multiplicity 2)
Co1 0.185 0.500 0.823 (multiplicity 2)
Co2 0.324 0.000 0.195 (multiplicity 2)
O1 0.000 0.500 0.256 (multiplicity 2)
O2 0.007 0.500 0.747 (multiplicity 2)
O3 0.164 0.000 0.615 (multiplicity 2)
O4 0.165 0.000 0.026 (multiplicity 2)
O5 0.332 0.500 0.972 (multiplicity 2)
O6 0.343 0.500 0.404 (multiplicity 2)

The 12 most intense peaks (10° ≤ 2θ ≤ 90°), in order of rising 2θ:
| (hkl) | Position (°2θ) | intensity |
| --- | --- | --- |
| 2 0 -1 | 18.4 | 100.0 |
| 4 0 1 | 34.8 | 19.2 |
| 1 1 1 | 36.1 | 23.4 |
| 2 0 2 | 36.6 | 7.7 |
| 3 1 0 | 37.7 | 11.7 |
| 6 0 0 | 42.6 | 30.1 |
| 1 1 -2 | 43.8 | 53.5 |
| 3 1 -3 | 57.8 | 8.5 |
| 5 1 2 | 62.2 | 16.5 |
| 7 1 -2 | 63.2 | 11.3 |
| 0 2 0 | 64.6 | 7.8 |
| 6 2 0 | 80.4 | 7.3 |


Starting from a PBE+U-relaxed structure, the powder diffraction line list of CrCo3O8 was calculated for Cu Kα, 1.54184 Å.

Structural model:
abc: 5.7394 5.7394 14.5301
angles: 90.00 90.00 120.00
Space group R-3m (No. 166, hexagonal axes)
Inequivalent atoms, fractional coordinates:
Cr1 0.0000 0.0000 0.0000 (multiplicity 3)
Co1 0.0000 0.5000 0.0000 (multiplicity 9)
O1 0.0000 0.0000 0.2681 (multiplicity 6)
O2 0.0073 0.5036 0.2681 (multiplicity 18)

The 12 most intense peaks (10° ≤ 2θ ≤ 90°), in order of rising 2θ:
| (hkl) | Position (°2θ) | intensity |
| --- | --- | --- |
| 0 0 3 | 18.3 | 100.0 |
| 0 2 1 | 36.7 | 30.2 |
| 0 0 6 | 37.1 | 3.7 |
| 2 0 2 | 38.3 | 6.8 |
| 0 2 4 | 44.2 | 42.4 |
| 2 0 5 | 48.2 | 7.9 |
| 0 2 7 | 57.9 | 14.7 |
| 2 0 8 | 63.4 | 9.9 |
| 2 2 0 | 65.0 | 11.7 |
| 2 2 3 | 68.2 | 12.6 |
| 4 0 4 | 81.9 | 5.1 |
| 2 0 11 | 82.7 | 5.2 |


Number 3 is which compound?
Li5Fe8B8O24


Copy entry 5 word for word.
Starting from a PBE+U-relaxed structure, the powder diffraction line list of MgFeCo2O6 was calculated for Cu Kα, 1.54184 Å.

Structural model:
abc: 13.028 2.886 5.922
angles: 90.00 101.97 90.00
Space group Cm (No. 8)
Inequivalent atoms, fractional coordinates:
Mg1 0.000 0.000 0.000 (multiplicity 2)
Fe1 0.000 0.000 0.500 (multiplicity 2)
Co1 0.185 0.500 0.823 (multiplicity 2)
Co2 0.324 0.000 0.195 (multiplicity 2)
O1 0.000 0.500 0.256 (multiplicity 2)
O2 0.007 0.500 0.747 (multiplicity 2)
O3 0.164 0.000 0.615 (multiplicity 2)
O4 0.165 0.000 0.026 (multiplicity 2)
O5 0.332 0.500 0.972 (multiplicity 2)
O6 0.343 0.500 0.404 (multiplicity 2)

The 12 most intense peaks (10° ≤ 2θ ≤ 90°), in order of rising 2θ:
| (hkl) | Position (°2θ) | intensity |
| --- | --- | --- |
| 2 0 -1 | 18.4 | 100.0 |
| 4 0 1 | 34.8 | 19.2 |
| 1 1 1 | 36.1 | 23.4 |
| 2 0 2 | 36.6 | 7.7 |
| 3 1 0 | 37.7 | 11.7 |
| 6 0 0 | 42.6 | 30.1 |
| 1 1 -2 | 43.8 | 53.5 |
| 3 1 -3 | 57.8 | 8.5 |
| 5 1 2 | 62.2 | 16.5 |
| 7 1 -2 | 63.2 | 11.3 |
| 0 2 0 | 64.6 | 7.8 |
| 6 2 0 | 80.4 | 7.3 |